[1]
The following is a theoretical powder diffractogram of ZnH8C2S2N6. It was derived from a cell relaxed with PBE, using CuKα.

Unit cell a=4.266 b=15.320 c=7.291 alpha=90.00 beta=104.95 gamma=90.00
Fractional coordinates of all 38 atoms:
Zn  0.000  0.000  0.000
Zn  0.000  0.500  0.500
H  0.181  0.154  0.876
H  0.181  0.346  0.376
H  0.405  0.027  0.738
H  0.405  0.473  0.238
H  0.424  0.624  0.752
H  0.424  0.876  0.252
H  0.460  0.124  0.068
H  0.460  0.376  0.568
H  0.540  0.624  0.432
H  0.540  0.876  0.932
H  0.576  0.124  0.748
H  0.576  0.376  0.248
H  0.595  0.527  0.762
H  0.595  0.973  0.262
H  0.819  0.654  0.624
H  0.819  0.846  0.124
C  0.049  0.625  0.140
C  0.049  0.875  0.640
C  0.951  0.125  0.360
C  0.951  0.375  0.860
S  0.088  0.700  0.992
S  0.088  0.800  0.492
S  0.912  0.200  0.508
S  0.912  0.300  0.008
N  0.024  0.569  0.250
N  0.024  0.931  0.750
N  0.318  0.102  0.942
N  0.318  0.398  0.442
N  0.467  0.573  0.670
N  0.467  0.927  0.170
N  0.533  0.073  0.830
N  0.533  0.427  0.330
N  0.682  0.602  0.558
N  0.682  0.898  0.058
N  0.976  0.069  0.250
N  0.976  0.431  0.750

Main lines, most intense first (10° ≤ 2θ ≤ 90°):
2theta	intensity
21.5	100
13.8	67
28.2	37
11.6	33
32.9	21
30.1	20

[2]
The following is a theoretical powder diffractogram of CaAl2Si6O21. It was derived from a cell relaxed with PBE, using CuKα.

Unit cell a=7.399 b=17.128 c=7.646 alpha=90.00 beta=107.72 gamma=90.00
Fractional coordinates of all 60 atoms:
Ca  0.180  0.000  0.197
Ca  0.820  0.500  0.803
Al  0.258  0.135  0.569
Al  0.405  0.371  0.750
Al  0.595  0.871  0.250
Al  0.742  0.635  0.431
Si  0.125  0.296  0.372
Si  0.169  0.628  0.404
Si  0.287  0.739  0.746
Si  0.360  0.711  0.155
Si  0.376  0.364  0.166
Si  0.470  0.496  0.470
Si  0.530  0.996  0.530
Si  0.624  0.864  0.834
Si  0.640  0.211  0.845
Si  0.713  0.239  0.254
Si  0.831  0.128  0.596
Si  0.875  0.796  0.628
O  0.051  0.113  0.619
O  0.090  0.139  0.132
O  0.106  0.798  0.676
O  0.121  0.860  0.167
O  0.150  0.508  0.822
O  0.176  0.340  0.202
O  0.192  0.680  0.235
O  0.203  0.205  0.389
O  0.218  0.339  0.567
O  0.233  0.981  0.867
O  0.272  0.543  0.403
O  0.283  0.694  0.933
O  0.285  0.672  0.596
O  0.337  0.050  0.483
O  0.344  0.390  0.953
O  0.362  0.029  0.935
O  0.398  0.806  0.190
O  0.442  0.167  0.756
O  0.473  0.435  0.307
O  0.481  0.789  0.784
O  0.496  0.954  0.329
O  0.504  0.454  0.671
O  0.519  0.289  0.216
O  0.527  0.935  0.693
O  0.558  0.667  0.244
O  0.602  0.306  0.810
O  0.638  0.529  0.065
O  0.656  0.890  0.047
O  0.663  0.550  0.517
O  0.715  0.172  0.404
O  0.717  0.194  0.067
O  0.728  0.043  0.597
O  0.767  0.481  0.133
O  0.782  0.839  0.433
O  0.797  0.705  0.611
O  0.808  0.180  0.765
O  0.824  0.840  0.798
O  0.850  0.008  0.178
O  0.879  0.360  0.833
O  0.894  0.298  0.324
O  0.910  0.639  0.868
O  0.949  0.613  0.381

Main lines, most intense first (10° ≤ 2θ ≤ 90°):
2theta	intensity
20.0	100
19.8	52
26.6	43
31.3	41
17.9	39
15.5	37

[3]
The following is a theoretical powder diffractogram of CdSe. It was derived from a cell relaxed with PBE, using CuKα.

Unit cell a=4.394 b=4.394 c=7.171 alpha=90.00 beta=90.00 gamma=120.00
Fractional coordinates of all 4 atoms:
Cd  0.333  0.667  0.000
Cd  0.667  0.333  0.500
Se  0.333  0.667  0.624
Se  0.667  0.333  0.124

Main lines, most intense first (10° ≤ 2θ ≤ 90°):
2theta	intensity
23.4	100
41.1	89
44.8	88
26.5	75
24.8	60
48.6	56

[4]
The following is a theoretical powder diffractogram of SmCo5. It was derived from a cell relaxed with PBE, using CuKα.

Unit cell a=4.968 b=4.968 c=3.963 alpha=90.00 beta=90.00 gamma=120.00
Fractional coordinates of all 6 atoms:
Sm  0.000  0.000  0.000
Co  0.000  0.500  0.500
Co  0.333  0.667  0.000
Co  0.500  0.000  0.500
Co  0.500  0.500  0.500
Co  0.667  0.333  0.000

Main lines, most intense first (10° ≤ 2θ ≤ 90°):
2theta	intensity
43.0	100
30.7	50
42.0	36
36.2	33
45.8	26
69.7	22

[5]
The following is a theoretical powder diffractogram of Br2O. It was derived from a cell relaxed with PBE, using CuKα.

Unit cell a=10.410 b=4.348 c=7.085 alpha=90.00 beta=90.00 gamma=90.00
Fractional coordinates of all 12 atoms:
Br  0.007  0.123  0.000
Br  0.216  0.928  0.181
Br  0.284  0.428  0.681
Br  0.493  0.623  0.500
Br  0.507  0.377  0.000
Br  0.716  0.572  0.181
Br  0.784  0.072  0.681
Br  0.993  0.877  0.500
O  0.145  0.692  0.375
O  0.355  0.192  0.875
O  0.645  0.808  0.375
O  0.855  0.308  0.875

Main lines, most intense first (10° ≤ 2θ ≤ 90°):
2theta	intensity
30.5	100
25.5	84
29.6	62
22.2	58
24.0	46
42.0	38

[6]
The following is a theoretical powder diffractogram of Np2I2O. It was derived from a cell relaxed with PBE, using CuKα.

Unit cell a=3.743 b=3.743 c=15.146 alpha=90.00 beta=90.00 gamma=90.00
Fractional coordinates of all 5 atoms:
Np  0.000  0.000  0.136
Np  0.000  0.000  0.864
I  0.000  0.000  0.327
I  0.000  0.000  0.673
O  0.000  0.000  0.000

Main lines, most intense first (10° ≤ 2θ ≤ 90°):
2theta	intensity
23.8	100
33.7	41
33.9	41
23.5	25
48.6	24
41.6	23

[7]
The following is a theoretical powder diffractogram of UTeAs. It was derived from a cell relaxed with PBE, using CuKα.

Unit cell a=9.094 b=9.094 c=9.094 alpha=153.51 beta=153.51 gamma=37.81
Fractional coordinates of all 6 atoms:
U  0.118  0.118  0.000
U  0.882  0.882  0.000
Te  0.314  0.314  0.000
Te  0.686  0.686  0.000
As  0.000  0.500  0.500
As  0.500  0.000  0.500

Main lines, most intense first (10° ≤ 2θ ≤ 90°):
2theta	intensity
33.8	100
37.0	82
30.3	54
43.4	50
56.1	48
21.9	44